Record 1
Theoretical powder XRD pattern of GeS6I2 for copper Kα, from a PBE-relaxed structure.
Kinematic intensities with the Lorentz-polarization factor, no thermal factor.

Crystal structure
abc: 4.374 8.324 8.357
angles: 113.92 91.06 90.97
Space group P-1 (No. 2)
Asymmetric unit:
Ge (0.000, 0.000, 0.000)
S (0.087, 0.489, 0.724)
S (0.087, 0.726, 0.490)
S (0.140, 0.306, 0.306)
I (0.500, 0.149, 0.854)

Principal peaks in the range 2θ from 10° to 80°, in order of rising 2θ:
h k l, Position (°2θ), d [Å], I/Imax
0 0 1, 11.61, 7.622, 65
0 1 1, 19.53, 4.545, 71
1 0 -1, 23.18, 3.838, 21
1 0 1, 23.74, 3.748, 30
1 -1 1, 24.01, 3.707, 37
1 -2 1, 29.46, 3.032, 100
1 2 -1, 29.91, 2.987, 40
0 1 2, 30.18, 2.962, 56
1 -1 3, 38.82, 2.320, 28
1 0 4, 52.83, 1.733, 23



Record 2
Theoretical powder XRD pattern of Ge2SbTeI for copper Kα, from a PBE-relaxed structure.
Kinematic intensities with the Lorentz-polarization factor, no thermal factor.

Crystal structure
abc: 5.435 5.435 5.963
angles: 90.00 90.00 90.00
Space group P4/mmm (No. 123)
Asymmetric unit:
Ge (0.000, 0.500, 0.000)
Sb (0.000, 0.000, 0.500)
Te (0.500, 0.500, 0.500)
I (0.000, 0.000, 0.000)

Principal peaks in the range 2θ from 10° to 80°, in order of rising 2θ:
h k l, Position (°2θ), d [Å], I/Imax
1 0 0, 16.31, 5.435, 31
1 0 1, 22.13, 4.017, 34
1 1 0, 23.14, 3.843, 44
1 1 1, 27.61, 3.231, 86
0 0 2, 29.97, 2.982, 64
2 0 0, 32.96, 2.718, 100
2 0 2, 45.14, 2.009, 82
2 2 0, 47.30, 1.922, 36
3 1 1, 55.65, 1.652, 24
2 2 2, 57.01, 1.615, 41



Record 3
Theoretical powder XRD pattern of Ge4Se5I2 for copper Kα, from a PBE-relaxed structure.
Kinematic intensities with the Lorentz-polarization factor, no thermal factor.

Crystal structure
abc: 14.824 5.939 9.184
angles: 90.00 126.34 90.00
Space group C2/m (No. 12)
Asymmetric unit:
Ge (0.138, 0.000, 0.000)
Ge (0.173, 0.000, 0.518)
Se (0.000, 0.000, 0.500)
Se (0.146, 0.257, 0.253)
I (0.138, 0.500, 0.844)

Principal peaks in the range 2θ from 10° to 80°, in order of rising 2θ:
h k l, Position (°2θ), d [Å], I/Imax
1 1 1, 23.03, 3.862, 36
4 0 -1, 24.68, 3.608, 28
1 1 -2, 25.45, 3.500, 100
4 0 0, 29.93, 2.986, 66
2 2 -1, 32.64, 2.743, 62
5 1 -1, 35.32, 2.541, 25
0 2 2, 38.90, 2.315, 70
3 1 -4, 42.68, 2.118, 20
6 2 -2, 47.96, 1.897, 37
7 1 -4, 48.95, 1.861, 29



Repeat the second record exactly.
Theoretical powder XRD pattern of Ge2SbTeI for copper Kα, from a PBE-relaxed structure.
Kinematic intensities with the Lorentz-polarization factor, no thermal factor.

Crystal structure
abc: 5.435 5.435 5.963
angles: 90.00 90.00 90.00
Space group P4/mmm (No. 123)
Asymmetric unit:
Ge (0.000, 0.500, 0.000)
Sb (0.000, 0.000, 0.500)
Te (0.500, 0.500, 0.500)
I (0.000, 0.000, 0.000)

Principal peaks in the range 2θ from 10° to 80°, in order of rising 2θ:
h k l, Position (°2θ), d [Å], I/Imax
1 0 0, 16.31, 5.435, 31
1 0 1, 22.13, 4.017, 34
1 1 0, 23.14, 3.843, 44
1 1 1, 27.61, 3.231, 86
0 0 2, 29.97, 2.982, 64
2 0 0, 32.96, 2.718, 100
2 0 2, 45.14, 2.009, 82
2 2 0, 47.30, 1.922, 36
3 1 1, 55.65, 1.652, 24
2 2 2, 57.01, 1.615, 41